This entry pairs a crystal structure of KS2O3 with its calculated X-ray diffraction stick pattern. Radiation: λ = 1.5418 Å (Cu Kα). Structure: a structure optimized by DFT (GGA-PBE).
Peak positions follow from Bragg's law for the DFT cell and can differ from measured ones.

Main lines, in order of rising 2θ (10 to 90 degrees two-theta):
d 5.500, rel. 84.4; d 4.537, rel. 49.2; d 3.718, rel. 59.5; d 3.455, rel. 100.0; d 3.314, rel. 59.5; d 3.273, rel. 89.8; d 3.193, rel. 43.1; d 3.171, rel. 64.3; d 2.984, rel. 66.0; d 2.750, rel. 57.7

Structure:
```
KS2O3
1.0
11.2526 -4.1511 0.0000
11.2526 4.1511 0.0000
-2.1589 0.0000 10.0829
K S O
8 16 24
Direct
0.0664 0.9336 0.5000
0.0939 0.3131 0.6768
0.3131 0.0939 0.1768
0.5737 0.7345 0.5529
0.6330 0.9549 0.8884
0.7345 0.5737 0.0529
0.9336 0.0664 0.0000
0.9549 0.6330 0.3884
0.1051 0.4431 0.0072
0.1611 0.5783 0.0173
0.2339 0.5235 0.8343
0.3187 0.9186 0.8365
0.3496 0.7161 0.8413
0.3712 0.7386 0.2338
0.4431 0.1051 0.5072
0.4632 0.5561 0.6779
0.5235 0.2339 0.3343
0.5561 0.4632 0.1779
0.5783 0.1611 0.5173
0.7161 0.3496 0.3413
0.7309 0.9972 0.2169
0.7386 0.3712 0.7338
0.9186 0.3187 0.3365
0.9972 0.7309 0.7169
0.0471 0.1833 0.4292
0.0676 0.7242 0.6100
0.0817 0.4556 0.1465
0.1833 0.0471 0.9292
0.2181 0.8111 0.1488
0.2547 0.2658 0.9545
0.2658 0.2547 0.4545
0.2673 0.9661 0.6985
0.3548 0.7582 0.3760
0.4482 0.7828 0.2031
0.4556 0.0817 0.6465
0.4841 0.8520 0.8855
0.5366 0.9464 0.4200
0.6819 0.9137 0.1689
0.7241 0.0676 0.1100
0.7582 0.3548 0.8760
0.7828 0.4482 0.7031
0.8111 0.2181 0.6488
0.8520 0.4841 0.3855
0.8882 0.8935 0.3063
0.8935 0.8882 0.8063
0.9137 0.6819 0.6689
0.9464 0.5366 0.9200
0.9661 0.2673 0.1985
```

=====

This entry pairs a crystal structure of VS2 with its calculated X-ray diffraction stick pattern. Radiation: λ = 1.5418 Å (Cu Kα). Structure: a structure optimized by DFT (GGA-PBE).
Peak positions follow from Bragg's law for the DFT cell and can differ from measured ones.

Main lines, in order of rising 2θ (10 to 90 degrees two-theta):
d 5.414, rel. 54.6; d 2.827, rel. 34.1; d 2.344, rel. 100.0; d 2.151, rel. 16.5; d 1.805, rel. 9.8; d 1.658, rel. 61.3; d 1.585, rel. 9.1; d 1.353, rel. 19.9; d 1.221, rel. 6.4; d 1.172, rel. 9.4

Structure:
```
VS2
1.0
0.0000 4.6883 4.6883
4.6883 0.0000 4.6883
4.6883 4.6883 0.0000
V S
4 8
Direct
0.0000 0.0000 0.0000
0.0000 0.0000 0.5000
0.0000 0.5000 0.0000
0.5000 0.0000 0.0000
0.2517 0.2517 0.2517
0.2517 0.2517 0.7449
0.2517 0.7449 0.2517
0.2551 0.7483 0.7483
0.7449 0.2517 0.2517
0.7483 0.2551 0.7483
0.7483 0.7483 0.2551
0.7483 0.7483 0.7483
```

=====

This entry pairs a crystal structure of RbNdTiNbO6F with its calculated X-ray diffraction stick pattern. Radiation: λ = 1.5418 Å (Cu Kα). Structure: a structure optimized by DFT (GGA-PBE).
Peak positions follow from Bragg's law for the DFT cell and can differ from measured ones.

Main lines, in order of rising 2θ (10 to 90 degrees two-theta):
d 3.648, rel. 7.3; d 3.188, rel. 100.0; d 2.838, rel. 9.2; d 2.724, rel. 37.2; d 2.456, rel. 8.3; d 1.965, rel. 22.9; d 1.956, rel. 9.0; d 1.926, rel. 23.7; d 1.649, rel. 28.3; d 1.120, rel. 7.1

Structure:
```
RbNdTiNbO6F
1.0
3.8527 0.0000 0.0000
0.0000 3.8527 0.0000
0.0000 0.0000 11.3513
Rb Nd Ti Nb O F
1 1 1 1 6 1
Direct
0.0000 0.0000 0.0000
0.0000 0.0000 0.4647
0.5000 0.5000 0.2799
0.5000 0.5000 0.6983
0.0000 0.5000 0.3337
0.0000 0.5000 0.6478
0.5000 0.0000 0.3337
0.5000 0.0000 0.6478
0.5000 0.5000 0.1301
0.5000 0.5000 0.8564
0.5000 0.5000 0.4902
```

=====

This entry pairs a crystal structure of VSi2 with its calculated X-ray diffraction stick pattern. Radiation: λ = 1.5418 Å (Cu Kα). Structure: a structure optimized by DFT (GGA-PBE).
Peak positions follow from Bragg's law for the DFT cell and can differ from measured ones.

Main lines, in order of rising 2θ (10 to 90 degrees two-theta):
d 3.359, rel. 15.5; d 2.282, rel. 15.1; d 2.149, rel. 100.0; d 2.124, rel. 36.2; d 1.855, rel. 61.7; d 1.306, rel. 18.5; d 1.290, rel. 17.6; d 1.218, rel. 14.6; d 1.141, rel. 13.4; d 1.113, rel. 11.2

Structure:
```
VSi2
1.0
4.5647 0.0000 0.0000
-2.2824 3.9531 0.0000
0.0000 0.0000 6.3718
V Si
3 6
Direct
0.0000 0.5000 0.1667
0.5000 0.0000 0.5000
0.5000 0.5000 0.8333
0.1628 0.3257 0.5000
0.1628 0.8372 0.8333
0.3257 0.1628 0.1667
0.6743 0.8372 0.1667
0.8372 0.1628 0.8333
0.8372 0.6743 0.5000
```

=====

This entry pairs a crystal structure of HoMnIn with its calculated X-ray diffraction stick pattern. Radiation: λ = 1.5418 Å (Cu Kα). Structure: a structure optimized by DFT (GGA-PBE).
Peak positions follow from Bragg's law for the DFT cell and can differ from measured ones.

Main lines, in order of rising 2θ (10 to 90 degrees two-theta):
d 4.128, rel. 19.3; d 2.676, rel. 100.0; d 2.384, rel. 62.6; d 1.780, rel. 29.5; d 1.757, rel. 8.1; d 1.426, rel. 28.1; d 1.414, rel. 23.3; d 1.376, rel. 10.6; d 1.192, rel. 6.6; d 1.127, rel. 6.7

Structure:
```
HoMnIn
1.0
4.7671 0.0000 0.0000
-2.3835 4.1284 0.0000
0.0000 0.0000 3.5144
Ho Mn In
1 1 1
Direct
0.0000 0.0000 0.0000
0.6667 0.3333 0.5000
0.3333 0.6667 0.5000
```